[1]
For Pr3Nd2ThTe6, a GGA-PBE-relaxed structure gives the computed X-ray diffraction stick pattern in this record (a wavelength of 1.5418 Å).
No peak broadening, texture or thermal motion is included.

a = 10.054 Å, b = 10.054 Å, c = 9.040 Å
α = 102.39°, β = 102.39°, γ = 25.89°
Element x y z (fractional)
Pr: 0.000 0.000 0.000
Pr: 0.333 0.333 0.666
Pr: 0.667 0.667 0.334
Nd: 0.334 0.334 0.169
Nd: 0.666 0.666 0.831
Th: 0.000 0.000 0.500
Te: 0.166 0.166 0.585
Te: 0.168 0.168 0.082
Te: 0.500 0.500 0.251
Te: 0.500 0.500 0.749
Te: 0.832 0.832 0.918
Te: 0.834 0.834 0.415

Most intense lines, 2θ from 10° to 90°, in order of falling intensity:
2theta  intensity
27.98  100.0
39.85  38.7
40.15  25.3
49.56  13.8
40.03  12.8
65.23  12.0



[2]
For Pr8NdTh4, a GGA-PBE-relaxed structure gives the computed X-ray diffraction stick pattern in this record (a wavelength of 1.5418 Å).
No peak broadening, texture or thermal motion is included.

a = 7.917 Å, b = 7.917 Å, c = 7.917 Å
α = 97.47°, β = 97.47°, γ = 97.47°
Element x y z (fractional)
Pr: 0.167 0.167 0.670
Pr: 0.167 0.670 0.167
Pr: 0.247 0.247 0.247
Pr: 0.330 0.833 0.833
Pr: 0.670 0.167 0.167
Pr: 0.753 0.753 0.753
Pr: 0.833 0.330 0.833
Pr: 0.833 0.833 0.330
Nd: 0.500 0.500 0.500
Th: 0.000 0.000 0.000
Th: 0.000 0.500 0.500
Th: 0.500 0.000 0.500
Th: 0.500 0.500 0.000

Most intense lines, 2θ from 10° to 90°, in order of falling intensity:
2theta  intensity
30.03  100.0
37.92  57.4
22.61  35.9
53.33  20.3
56.06  19.2
58.64  16.4



[3]
For PrNd5Th2, a GGA-PBE-relaxed structure gives the computed X-ray diffraction stick pattern in this record (a wavelength of 1.5418 Å).
No peak broadening, texture or thermal motion is included.

a = 3.589 Å, b = 11.456 Å, c = 13.600 Å
α = 90.00°, β = 90.00°, γ = 90.00°
Element x y z (fractional)
Pr: 0.000 0.000 0.000
Pr: 0.500 0.500 0.500
Nd: 0.000 0.234 0.369
Nd: 0.000 0.234 0.631
Nd: 0.000 0.500 0.000
Nd: 0.000 0.766 0.369
Nd: 0.000 0.766 0.631
Nd: 0.500 0.000 0.500
Nd: 0.500 0.266 0.131
Nd: 0.500 0.266 0.869
Nd: 0.500 0.734 0.131
Nd: 0.500 0.734 0.869
Th: 0.000 0.500 0.258
Th: 0.000 0.500 0.742
Th: 0.500 0.000 0.242
Th: 0.500 0.000 0.758

Most intense lines, 2θ from 10° to 90°, in order of falling intensity:
2theta  intensity
30.58  100.0
30.11  52.1
31.23  44.9
31.80  34.9
60.53  29.1
29.19  25.3



[4]
For Pr6Nd2Th, a GGA-PBE-relaxed structure gives the computed X-ray diffraction stick pattern in this record (a wavelength of 1.5418 Å).
No peak broadening, texture or thermal motion is included.

a = 3.675 Å, b = 3.675 Å, c = 27.671 Å
α = 90.00°, β = 90.00°, γ = 120.00°
Element x y z (fractional)
Pr: 0.000 0.000 0.063
Pr: 0.000 0.000 0.282
Pr: 0.000 0.000 0.718
Pr: 0.000 0.000 0.937
Pr: 0.333 0.667 0.393
Pr: 0.333 0.667 0.607
Nd: 0.333 0.667 0.170
Nd: 0.333 0.667 0.830
Th: 0.000 0.000 0.500

Most intense lines, 2θ from 10° to 90°, in order of falling intensity:
2theta  intensity
32.45  100.0
30.93  66.5
29.04  47.8
28.04  45.4
58.52  40.1
49.61  35.2



[5]
For Pr4Nd2Th, a GGA-PBE-relaxed structure gives the computed X-ray diffraction stick pattern in this record (a wavelength of 1.5418 Å).
No peak broadening, texture or thermal motion is included.

a = 9.257 Å, b = 9.257 Å, c = 9.257 Å
α = 136.56°, β = 100.17°, γ = 95.58°
Element x y z (fractional)
Pr: 0.154 0.149 0.005
Pr: 0.240 0.215 0.476
Pr: 0.240 0.764 0.024
Pr: 0.356 0.851 0.505
Pr: 0.644 0.149 0.495
Pr: 0.760 0.236 0.976
Pr: 0.760 0.785 0.524
Pr: 0.846 0.851 0.995
Nd: 0.000 0.500 0.500
Nd: 0.027 0.277 0.750
Nd: 0.500 0.500 0.000
Nd: 0.973 0.723 0.250
Th: 0.500 0.000 0.000
Th: 0.500 0.500 0.500

Most intense lines, 2θ from 10° to 90°, in order of falling intensity:
2theta  intensity
30.10  100.0
29.33  49.9
32.50  35.4
28.04  23.4
53.48  19.1
34.80  18.8



[6]
For Pr5Nd8Th, a GGA-PBE-relaxed structure gives the computed X-ray diffraction stick pattern in this record (a wavelength of 1.5418 Å).
No peak broadening, texture or thermal motion is included.

a = 7.368 Å, b = 8.261 Å, c = 9.756 Å
α = 104.72°, β = 112.08°, γ = 102.99°
Element x y z (fractional)
Pr: 0.000 0.000 0.000
Pr: 0.072 0.570 0.851
Pr: 0.428 0.428 0.142
Pr: 0.564 0.572 0.851
Pr: 0.863 0.856 0.290
Nd: 0.144 0.135 0.712
Nd: 0.284 0.292 0.430
Nd: 0.356 0.858 0.291
Nd: 0.496 0.995 0.995
Nd: 0.636 0.137 0.712
Nd: 0.714 0.714 0.570
Nd: 0.791 0.291 0.429
Nd: 0.932 0.433 0.147
Th: 0.214 0.714 0.570

Most intense lines, 2θ from 10° to 90°, in order of falling intensity:
2theta  intensity
29.64  100.0
34.36  45.2
49.39  40.4
58.69  38.4
29.71  33.2
34.41  22.4